Entry 1:
Simulated powder diffraction line list
Compound: ErBRh4
Radiation: CuKα
Structure: a cell relaxed with GGA-PBE
No peak broadening, texture or thermal motion is included.

Structure:
```
data_ErBRh4
_chemical_formula_sum 'Er2 B2 Rh8'
_cell_length_a 5.103
_cell_length_b 5.103
_cell_length_c 7.983
_cell_angle_alpha 90.00
_cell_angle_beta 90.00
_cell_angle_gamma 90.00
_space_group_name_H-M_alt 'P 42/n m c'
_space_group_IT_number 137
loop_
_space_group_symop_operation_xyz
'x,y,z'
'-x,-y,-z'
'-y+1/2,x,z+1/2'
'y+1/2,-x,-z+1/2'
'-x+1/2,-y+1/2,z'
'x+1/2,y+1/2,-z'
'y,-x+1/2,z+1/2'
'-y,x+1/2,-z+1/2'
'x+1/2,-y,-z'
'-x+1/2,y,z'
'-y,-x,-z+1/2'
'y,x,z+1/2'
'-x,y+1/2,-z'
'x,-y+1/2,z'
'y+1/2,x+1/2,-z+1/2'
'-y+1/2,-x+1/2,z+1/2'
loop_
_atom_site_label
_atom_site_type_symbol
_atom_site_fract_x
_atom_site_fract_y
_atom_site_fract_z
Er1 Er 0.250 0.750 0.250
B1 B 0.250 0.750 0.750
Rh1 Rh 0.008 0.250 0.057
```

Most intense lines, 2θ from 5° to 70°, low angle first:
20.66°, I = 19, (1 0 1); 24.67°, I = 22, (1 1 0); 28.39°, I = 28, (1 0 2); 33.48°, I = 30, (1 1 2); 36.99°, I = 100, (2 0 1); 38.14°, I = 66, (1 0 3); 41.14°, I = 53, (2 1 1); 49.01°, I = 14, (1 0 4); 55.93°, I = 46, (2 2 2); 65.08°, I = 17, (3 0 3)

***

Entry 2:
Simulated powder diffraction line list
Compound: Er2B6Rh9
Radiation: CuKα
Structure: a cell relaxed with GGA-PBE
No peak broadening, texture or thermal motion is included.

Structure:
```
data_Er2B6Rh9
_chemical_formula_sum 'Er2 B6 Rh9'
_cell_length_a 5.5949
_cell_length_b 5.5949
_cell_length_c 8.5747
_cell_angle_alpha 90.00
_cell_angle_beta 90.00
_cell_angle_gamma 120.00
_space_group_name_H-M_alt 'P 6/m m m'
_space_group_IT_number 191
_space_group_name_Hall '-P 6 2'
loop_
_atom_site_label
_atom_site_type_symbol
_atom_site_fract_x
_atom_site_fract_y
_atom_site_fract_z
Er1 Er 0.0000 0.0000 0.2056
B1 B 0.3333 0.6667 0.1674
B2 B 0.3333 0.6667 0.5000
Rh1 Rh 0.0000 0.5000 0.0000
Rh2 Rh 0.0000 0.5000 0.3355
```

Most intense lines, 2θ from 5° to 70°, low angle first:
27.78°, I = 22, (1 0 2); 31.30°, I = 14, (0 0 3); 36.50°, I = 38, (1 0 3); 37.11°, I = 100, (2 0 0); 38.42°, I = 9, (1 1 2); 45.36°, I = 26, (1 1 3); 49.31°, I = 29, (2 0 3); 59.99°, I = 18, (2 1 3); 66.49°, I = 8, (3 0 3); 66.89°, I = 22, (2 2 0)

***

Entry 3:
Simulated powder diffraction line list
Compound: ErB5Rh7
Radiation: CuKα
Structure: a cell relaxed with GGA-PBE
No peak broadening, texture or thermal motion is included.

Structure:
```
data_ErB5Rh7
_chemical_formula_sum 'Er2 B10 Rh14'
_cell_length_a 4.922
_cell_length_b 8.277
_cell_length_c 7.709
_cell_angle_alpha 90.00
_cell_angle_beta 90.00
_cell_angle_gamma 90.00
_space_group_name_H-M_alt 'I m m 2'
_space_group_IT_number 44
_space_group_name_Hall 'I 2 -2'
loop_
_atom_site_label
_atom_site_type_symbol
_atom_site_fract_x
_atom_site_fract_y
_atom_site_fract_z
Er1 Er 0.000 0.000 0.000
B1 B 0.000 0.500 0.296
B2 B 0.183 0.258 0.752
Rh1 Rh 0.000 0.000 0.332
Rh2 Rh 0.000 0.000 0.668
Rh3 Rh 0.000 0.295 0.454
Rh4 Rh 0.000 0.332 0.089
Rh5 Rh 0.000 0.500 0.752
```

Most intense lines, 2θ from 5° to 70°, low angle first:
30.51°, I = 46, (1 2 1); 36.51°, I = 100, (2 0 0); 36.62°, I = 61, (0 1 3); 37.36°, I = 95, (1 3 0); 39.56°, I = 57, (1 0 3); 44.38°, I = 48, (1 3 2); 45.45°, I = 75, (1 2 3); 49.15°, I = 22, (2 2 2); 52.67°, I = 42, (2 1 3); 66.28°, I = 22, (3 3 0)

***

Entry 4:
Simulated powder diffraction line list
Compound: Er2BRu3
Radiation: CuKα
Structure: a cell relaxed with GGA-PBE
No peak broadening, texture or thermal motion is included.

Structure:
```
data_Er2BRu3
_chemical_formula_sum 'Er4 B2 Ru6'
_cell_length_a 3.169
_cell_length_b 4.937
_cell_length_c 12.991
_cell_angle_alpha 90.00
_cell_angle_beta 90.00
_cell_angle_gamma 90.00
_space_group_name_H-M_alt 'I m m m'
_space_group_IT_number 71
_space_group_name_Hall '-I 2 2'
loop_
_atom_site_label
_atom_site_type_symbol
_atom_site_fract_x
_atom_site_fract_y
_atom_site_fract_z
Er1 Er 0.000 0.000 0.188
B1 B 0.000 0.000 0.500
Ru1 Ru 0.000 0.500 0.108
Ru2 Ru 0.000 0.500 0.500
```

Most intense lines, 2θ from 5° to 70°, low angle first:
29.00°, I = 11, (1 0 1); 35.09°, I = 58, (1 0 3); 36.41°, I = 100, (0 2 0); 39.18°, I = 60, (0 1 5); 51.45°, I = 39, (1 2 3); 54.60°, I = 9, (1 1 6); 58.22°, I = 11, (2 0 0); 65.51°, I = 12, (1 3 2); 67.36°, I = 12, (0 3 5); 67.54°, I = 23, (1 1 8)

***

Entry 5:
Simulated powder diffraction line list
Compound: ErB4Ru4
Radiation: CuKα
Structure: a cell relaxed with GGA-PBE
No peak broadening, texture or thermal motion is included.

Structure:
```
data_ErB4Ru4
_chemical_formula_sum 'Er16 B64 Ru64'
_cell_length_a 10.566
_cell_length_b 10.580
_cell_length_c 15.034
_cell_angle_alpha 90.00
_cell_angle_beta 90.00
_cell_angle_gamma 90.00
_space_group_name_H-M_alt 'F d d d'
_space_group_IT_number 70
loop_
_space_group_symop_operation_xyz
'x,y,z'
'-x,-y,-z'
'-x+1/4,-y+1/4,z'
'x+1/4,y+1/4,-z'
'x,-y+1/4,-z+1/4'
'-x,y+1/4,z+1/4'
'-x+1/4,y,-z+1/4'
'x+1/4,-y,z+1/4'
'x,y+1/2,z+1/2'
'-x,-y+1/2,-z+1/2'
'-x+1/4,-y+3/4,z+1/2'
'x+1/4,y+3/4,-z+1/2'
'x,-y+3/4,-z+3/4'
'-x,y+3/4,z+3/4'
'-x+1/4,y+1/2,-z+3/4'
'x+1/4,-y+1/2,z+3/4'
'x+1/2,y,z+1/2'
'-x+1/2,-y,-z+1/2'
'-x+3/4,-y+1/4,z+1/2'
'x+3/4,y+1/4,-z+1/2'
'x+1/2,-y+1/4,-z+3/4'
'-x+1/2,y+1/4,z+3/4'
'-x+3/4,y,-z+3/4'
'x+3/4,-y,z+3/4'
'x+1/2,y+1/2,z'
'-x+1/2,-y+1/2,-z'
'-x+3/4,-y+3/4,z'
'x+3/4,y+3/4,-z'
'x+1/2,-y+3/4,-z+1/4'
'-x+1/2,y+3/4,z+1/4'
'-x+3/4,y+1/2,-z+1/4'
'x+3/4,-y+1/2,z+1/4'
loop_
_atom_site_label
_atom_site_type_symbol
_atom_site_fract_x
_atom_site_fract_y
_atom_site_fract_z
Er1 Er 0.125 0.125 0.125
Er2 Er 0.125 0.125 0.625
B1 B 0.029 0.361 0.043
B2 B 0.111 0.279 0.957
Ru1 Ru 0.007 0.358 0.187
Ru2 Ru 0.108 0.257 0.813
```

Most intense lines, 2θ from 5° to 70°, low angle first:
23.80°, I = 12, (2 2 0); 32.18°, I = 57, (3 1 3); 33.83°, I = 26, (2 2 4); 39.81°, I = 43, (2 0 6); 39.98°, I = 100, (4 2 2); 40.34°, I = 35, (3 1 5); 44.09°, I = 11, (1 5 1); 54.90°, I = 14, (6 2 0); 64.66°, I = 13, (6 0 6); 64.78°, I = 13, (6 4 2)

***

Entry 6:
Simulated powder diffraction line list
Compound: Er6BS12
Radiation: CuKα
Structure: a cell relaxed with GGA-PBE
No peak broadening, texture or thermal motion is included.

Structure:
```
data_Er6BS12
_chemical_formula_sum 'Er18 B3 S36'
_cell_length_a 11.4664
_cell_length_b 11.4664
_cell_length_c 10.8840
_cell_angle_alpha 90.00
_cell_angle_beta 90.00
_cell_angle_gamma 120.00
_space_group_name_H-M_alt 'R -3'
_space_group_IT_number 148
_space_group_name_Hall '-R 3'
loop_
_atom_site_label
_atom_site_type_symbol
_atom_site_fract_x
_atom_site_fract_y
_atom_site_fract_z
Er1 Er 0.0539 0.4469 0.3165
B1 B 0.0000 0.0000 0.0000
S1 S 0.0406 0.2189 0.4002
S2 S 0.0566 0.1875 0.8917
```

Most intense lines, 2θ from 5° to 70°, low angle first:
15.46°, I = 34, (1 1 0); 24.54°, I = 37, (0 0 3); 25.10°, I = 100, (2 1 1); 28.90°, I = 27, (3 -2 2); 29.13°, I = 21, (2 -1 3); 33.56°, I = 27, (1 3 1); 36.57°, I = 17, (3 1 2); 40.97°, I = 41, (2 1 4); 41.68°, I = 32, (1 4 0); 48.96°, I = 22, (5 -1 3)